No. 1
Structure and simulated powder XRD pattern of Pa3As4 (a DFT-relaxed cell (GGA-PBE, the Materials Project); copper Kα).
Peak positions follow from Bragg's law for the DFT cell and can differ from measured ones.

Cell and atoms:
Lattice parameters (Å, degrees): 7.426 7.426 7.426 109.47 109.47 109.47
Element x y z (fractional)
Pa  0.125  0.750  0.875
Pa  0.250  0.625  0.375
Pa  0.375  0.250  0.625
Pa  0.625  0.375  0.250
Pa  0.750  0.875  0.125
Pa  0.875  0.125  0.750
As  0.000  0.342  0.500
As  0.000  0.842  0.500
As  0.158  0.158  0.158
As  0.342  0.500  0.000
As  0.500  0.000  0.342
As  0.500  0.000  0.842
As  0.658  0.658  0.658
As  0.842  0.500  0.000

Peak list (6 most intense, 15 to 90 degrees two-theta, by angle)
25.44 deg, I = 67
33.04 deg, I = 100
39.32 deg, I = 69
47.42 deg, I = 36
67.31 deg, I = 37
82.70 deg, I = 25

No. 2
Structure and simulated powder XRD pattern of SmBi2Te4 (a DFT-relaxed cell (GGA-PBE, the Materials Project); copper Kα).
Peak positions follow from Bragg's law for the DFT cell and can differ from measured ones.

Cell and atoms:
Lattice parameters (Å, degrees): 8.405 8.405 8.405 108.21 108.21 112.02
Element x y z (fractional)
Sm  0.000  0.000  0.000
Sm  0.750  0.250  0.500
Bi  0.219  0.625  0.094
Bi  0.375  0.469  0.594
Bi  0.531  0.125  0.906
Bi  0.875  0.781  0.406
Te  0.118  0.243  0.750
Te  0.118  0.742  0.750
Te  0.258  0.007  0.376
Te  0.492  0.368  0.250
Te  0.632  0.882  0.124
Te  0.632  0.882  0.624
Te  0.757  0.508  0.876
Te  0.993  0.368  0.250

Peak list (6 most intense, 15 to 90 degrees two-theta, by angle)
28.64 deg, I = 69
28.79 deg, I = 100
29.93 deg, I = 64
34.53 deg, I = 57
35.15 deg, I = 50
47.11 deg, I = 46

No. 3
Structure and simulated powder XRD pattern of Mn2InCuSe4 (a DFT-relaxed cell (GGA-PBE, the Materials Project); copper Kα).
Peak positions follow from Bragg's law for the DFT cell and can differ from measured ones.

Cell and atoms:
Lattice parameters (Å, degrees): 6.859 6.859 6.859 131.42 131.42 71.15
Element x y z (fractional)
Mn  0.250  0.750  0.500
Mn  0.750  0.250  0.500
In  0.000  0.000  0.000
Cu  0.500  0.500  0.000
Se  0.128  0.128  0.546
Se  0.418  0.872  0.000
Se  0.582  0.582  0.454
Se  0.872  0.418  0.000

Peak list (6 most intense, 15 to 90 degrees two-theta, by angle)
27.48 deg, I = 100
45.46 deg, I = 24
45.74 deg, I = 43
53.95 deg, I = 27
54.44 deg, I = 11
84.22 deg, I = 12

No. 4
Structure and simulated powder XRD pattern of RbCaF3 (a DFT-relaxed cell (GGA-PBE, the Materials Project); copper Kα).
Peak positions follow from Bragg's law for the DFT cell and can differ from measured ones.

Cell and atoms:
Lattice parameters (Å, degrees): 4.517 4.517 4.517 90.00 90.00 90.00
Element x y z (fractional)
Rb  0.000  0.000  0.000
Ca  0.500  0.500  0.500
F  0.000  0.500  0.500
F  0.500  0.000  0.500
F  0.500  0.500  0.000

Peak list (6 most intense, 15 to 90 degrees two-theta, by angle)
27.93 deg, I = 100
34.39 deg, I = 35
39.92 deg, I = 55
49.42 deg, I = 40
57.73 deg, I = 33
79.37 deg, I = 20

No. 5
Structure and simulated powder XRD pattern of SrZrSe3 (a DFT-relaxed cell (GGA-PBE, the Materials Project); copper Kα).
Peak positions follow from Bragg's law for the DFT cell and can differ from measured ones.

Cell and atoms:
Lattice parameters (Å, degrees): 9.063 3.993 14.656 90.00 90.00 90.00
Element x y z (fractional)
Sr  0.060  0.250  0.178
Sr  0.440  0.750  0.678
Sr  0.560  0.250  0.322
Sr  0.940  0.750  0.822
Zr  0.170  0.750  0.443
Zr  0.330  0.250  0.943
Zr  0.670  0.750  0.057
Zr  0.830  0.250  0.557
Se  0.019  0.750  0.608
Se  0.161  0.750  0.013
Se  0.210  0.250  0.781
Se  0.290  0.750  0.281
Se  0.339  0.250  0.513
Se  0.481  0.250  0.108
Se  0.519  0.750  0.892
Se  0.661  0.750  0.487
Se  0.710  0.250  0.719
Se  0.790  0.750  0.219
Se  0.839  0.250  0.987
Se  0.981  0.250  0.392

Peak list (6 most intense, 15 to 90 degrees two-theta, by angle)
30.48 deg, I = 100
31.40 deg, I = 28
32.08 deg, I = 50
32.28 deg, I = 74
38.10 deg, I = 38
45.43 deg, I = 29

No. 6
Structure and simulated powder XRD pattern of CsPbF3 (a DFT-relaxed cell (GGA-PBE, the Materials Project); copper Kα).
Peak positions follow from Bragg's law for the DFT cell and can differ from measured ones.

Cell and atoms:
Lattice parameters (Å, degrees): 6.838 6.838 6.838 61.20 61.20 61.20
Element x y z (fractional)
Cs  0.000  0.000  0.000
Cs  0.500  0.500  0.500
Pb  0.246  0.246  0.246
Pb  0.746  0.746  0.746
F  0.055  0.950  0.467
F  0.450  0.555  0.967
F  0.467  0.055  0.950
F  0.555  0.967  0.450
F  0.950  0.467  0.055
F  0.967  0.450  0.555

Peak list (6 most intense, 15 to 90 degrees two-theta, by angle)
25.59 deg, I = 100
26.07 deg, I = 97
36.86 deg, I = 59
45.12 deg, I = 25
45.41 deg, I = 47
46.28 deg, I = 22

No. 7
Structure and simulated powder XRD pattern of MgTe2Mo2W2Se4S2 (a DFT-relaxed cell (GGA-PBE, the Materials Project); copper Kα).
Peak positions follow from Bragg's law for the DFT cell and can differ from measured ones.

Cell and atoms:
Lattice parameters (Å, degrees): 3.333 3.333 38.111 90.00 90.00 60.00
Element x y z (fractional)
Mg  0.000  0.000  0.000
Te  0.418  0.175  0.184
Te  0.418  0.175  0.284
Mo  0.084  0.842  0.234
Mo  0.418  0.175  0.422
W  0.084  0.842  0.610
W  0.418  0.175  0.798
Se  0.084  0.842  0.378
Se  0.084  0.842  0.466
Se  0.418  0.175  0.566
Se  0.418  0.175  0.654
S  0.084  0.842  0.758
S  0.084  0.842  0.838

Peak list (6 most intense, 15 to 90 degrees two-theta, by angle)
31.00 deg, I = 48
33.19 deg, I = 17
36.39 deg, I = 100
44.02 deg, I = 59
45.82 deg, I = 19
55.12 deg, I = 34

No. 8
Structure and simulated powder XRD pattern of TbAl3B4O12 (a DFT-relaxed cell (GGA-PBE, the Materials Project); copper Kα).
Peak positions follow from Bragg's law for the DFT cell and can differ from measured ones.

Cell and atoms:
Lattice parameters (Å, degrees): 5.939 5.939 11.149 98.06 98.06 104.46
Element x y z (fractional)
Tb  0.036  0.964  0.750
Tb  0.964  0.036  0.250
Al  0.194  0.696  0.472
Al  0.304  0.806  0.028
Al  0.411  0.589  0.250
Al  0.589  0.411  0.750
Al  0.696  0.194  0.972
Al  0.806  0.304  0.528
B  0.120  0.493  0.778
B  0.223  0.280  0.004
B  0.280  0.223  0.504
B  0.493  0.120  0.278
B  0.507  0.880  0.722
B  0.720  0.777  0.496
B  0.777  0.720  0.996
B  0.880  0.507  0.222
O  0.003  0.809  0.066
O  0.105  0.578  0.295
O  0.130  0.370  0.497
O  0.179  0.702  0.860
O  0.191  0.997  0.434
O  0.267  0.350  0.759
O  0.298  0.821  0.640
O  0.301  0.506  0.073
O  0.350  0.267  0.259
O  0.370  0.130  0.997
O  0.422  0.895  0.205
O  0.494  0.699  0.427
O  0.506  0.301  0.573
O  0.578  0.105  0.795
O  0.630  0.870  0.003
O  0.650  0.733  0.741
O  0.699  0.494  0.927
O  0.702  0.179  0.360
O  0.733  0.650  0.241
O  0.809  0.003  0.566
O  0.821  0.298  0.140
O  0.870  0.630  0.503
O  0.895  0.422  0.705
O  0.997  0.191  0.934

Peak list (6 most intense, 15 to 90 degrees two-theta, by angle)
15.67 deg, I = 70
16.33 deg, I = 39
20.51 deg, I = 39
25.11 deg, I = 68
31.22 deg, I = 32
32.97 deg, I = 100

No. 9
Structure and simulated powder XRD pattern of IrN4Cl6 (a DFT-relaxed cell (GGA-PBE, the Materials Project); copper Kα).
Peak positions follow from Bragg's law for the DFT cell and can differ from measured ones.

Cell and atoms:
Lattice parameters (Å, degrees): 7.764 7.764 7.764 119.84 119.84 90.27
Element x y z (fractional)
Ir  0.000  0.000  0.000
N  0.282  0.710  0.429
N  0.282  0.853  0.571
N  0.710  0.282  0.429
N  0.853  0.282  0.571
Cl  0.208  0.208  0.000
Cl  0.212  0.212  0.419
Cl  0.212  0.793  0.000
Cl  0.789  0.789  0.000
Cl  0.793  0.212  0.000
Cl  0.793  0.793  0.581

Peak list (6 most intense, 15 to 90 degrees two-theta, by angle)
16.13 deg, I = 100
22.89 deg, I = 62
26.91 deg, I = 77
32.54 deg, I = 42
42.70 deg, I = 41
49.00 deg, I = 34